For Ba2ZrO3F2, a structure optimized by DFT (PBE) gives the computed powder diffraction line list in this record (λ = 1.5418 Å (Cu Kα)).

Main lines, in order of rising 2θ (5° ≤ 2θ ≤ 70°):
3.325 Å, rel. 100; 2.912 Å, rel. 46; 2.817 Å, rel. 11; 2.613 Å, rel. 14; 2.398 Å, rel. 24; 2.061 Å, rel. 14; 2.056 Å, rel. 14; 2.025 Å, rel. 17; 1.750 Å, rel. 32; 1.710 Å, rel. 15

Crystal structure
```
data_Ba2ZrO3F2
_cell_length_a 4.113
_cell_length_b 4.123
_cell_length_c 16.903
_cell_angle_alpha 90.00
_cell_angle_beta 90.00
_cell_angle_gamma 90.00
_space_group_name_H-M_alt 'I m m 2'
_space_group_IT_number 44
loop_
_space_group_symop_operation_xyz
'x,y,z'
'-x,-y,z'
'-x,y,z'
'x,-y,z'
'x+1/2,y+1/2,z+1/2'
'-x+1/2,-y+1/2,z+1/2'
'-x+1/2,y+1/2,z+1/2'
'x+1/2,-y+1/2,z+1/2'
loop_
_atom_site_label
_atom_site_type_symbol
_atom_site_fract_x
_atom_site_fract_y
_atom_site_fract_z
Ba1 Ba 0.000 0.000 0.000
Ba2 Ba 0.000 0.000 0.281
Zr1 Zr 0.000 0.000 0.646
O1 O 0.000 0.000 0.528
O2 O 0.000 0.500 0.170
O3 O 0.000 0.500 0.665
F1 F 0.000 0.000 0.787
F2 F 0.000 0.500 0.899
```